The following is a calculated X-ray powder pattern of Co2TeRuO6. It was derived from a structure optimized by DFT (GGA+U), using λ = 1.5418 Å (Cu Kα).
Peak positions follow from Bragg's law for the DFT cell and can differ from measured ones.

Principal peaks in the range 2θ from 10° to 80°, most intense first:
2θ 34.1, rel. 100, hkl 1 1 0; 2θ 32.4, rel. 99, hkl 1 0 4; 2θ 23.3, rel. 60, hkl 0 1 2; 2θ 52.7, rel. 55, hkl 1 1 6; 2θ 47.7, rel. 39, hkl 0 2 4; 2θ 59.9, rel. 37, hkl 2 1 4; 2θ 61.0, rel. 33, hkl 3 0 0; 2θ 71.7, rel. 12, hkl 2 2 0; 2θ 71.0, rel. 12, hkl 1 0 10; 2θ 41.7, rel. 12, hkl 2 0 2

Structural model:
a b c (Å): 5.2638 5.2638 13.8743
angles (deg): 90.00 90.00 120.00
Space group R3 (No. 146, hexagonal axes)
One atom of each set of equivalent atoms:
Co 0.0000 0.0000 0.0000 [3 per cell]
Co 0.0000 0.0000 0.4830 [3 per cell]
Te 0.0000 0.0000 0.2026 [3 per cell]
Ru 0.0000 0.0000 0.6874 [3 per cell]
O 0.0020 0.7063 0.0880 [9 per cell]
O 0.0093 0.3851 0.2622 [9 per cell]